Structure and simulated XRD peak list of BaScPa2S8 (a crystal structure in Alexandria, relaxed with GGA-PBE; λ = 1.5418 Å (Cu Kα)).
Kinematic intensities with the Lorentz-polarization factor, no thermal factor.

Principal peaks in the range 10 to 90 degrees two-theta, by intensity:
- 25.3 deg, I 1000, (1 2 0)
- 19.4 deg, I 743, (1 0 -1)
- 37.7 deg, I 634, (2 2 -1)
- 20.2 deg, I 603, (1 0 1)
- 14.0 deg, I 562, (0 0 1)
- 38.7 deg, I 490, (2 2 1)
- 28.7 deg, I 281, (1 2 -1)
- 48.0 deg, I 214, (0 2 3)
- 48.2 deg, I 180, (3 2 0)
- 32.1 deg, I 165, (1 0 2)

```
data_BaScPa2S8
_cell_length_a 6.3380
_cell_length_b 8.4438
_cell_length_c 6.3633
_cell_angle_alpha 90.00
_cell_angle_beta 92.47
_cell_angle_gamma 90.00
_space_group_name_H-M_alt 'P 1 2/m 1'
_space_group_IT_number 10
loop_
_space_group_symop_operation_xyz
'x,y,z'
'-x,-y,-z'
'-x,y,-z'
'x,-y,z'
loop_
_atom_site_label
_atom_site_type_symbol
_atom_site_fract_x
_atom_site_fract_y
_atom_site_fract_z
Ba1 Ba 0.0000 0.0000 0.0000
Sc1 Sc 0.0000 0.5000 0.0000
Pa1 Pa 0.5000 0.2538 0.5000
S1 S 0.2278 0.2931 0.1913
S2 S 0.2962 0.5000 0.6851
S3 S 0.2992 0.0000 0.6375
```